# 1
Calculated X-ray diffraction stick pattern of Nb3VSe6 for Cu Ka, from a GGA-PBE-relaxed structure.

The 10 most intense peaks (10° ≤ 2θ ≤ 90°), by angle:
13.9 deg, 6.373 Å, rel. 30
30.3 deg, 2.953 Å, rel. 56
32.7 deg, 2.741 Å, rel. 38
36.4 deg, 2.470 Å, rel. 46
41.1 deg, 2.198 Å, rel. 100
52.2 deg, 1.753 Å, rel. 50
57.9 deg, 1.593 Å, rel. 11
59.2 deg, 1.561 Å, rel. 14
68.5 deg, 1.370 Å, rel. 21
81.7 deg, 1.179 Å, rel. 25

Cell and atoms:
```
data_Nb3VSe6
_chemical_formula_sum 'Nb6 V2 Se12'
_space_group_name_H-M_alt 'P 63 2 2'
_space_group_IT_number 182
_space_group_name_Hall 'P 6c 2c'
_cell_length_a 6.0722
_cell_length_b 6.0722
_cell_length_c 12.7453
_cell_angle_alpha 90.00
_cell_angle_beta 90.00
_cell_angle_gamma 120.00
loop_
_atom_site_label
_atom_site_type_symbol
_atom_site_fract_x
_atom_site_fract_y
_atom_site_fract_z
_atom_site_occupancy
Nb1 Nb 0.0000 0.0000 0.0000 1
Nb2 Nb 0.3333 0.6667 0.9996 1
V1 V 0.3333 0.6667 0.2500 1
Se1 Se 0.0016 0.3327 0.8682 1
```

# 2
Calculated X-ray diffraction stick pattern of BNF8 for Cu Ka, from a GGA-PBE-relaxed structure.

The 10 most intense peaks (10° ≤ 2θ ≤ 90°), by angle:
17.0 deg, 5.219 Å, rel. 16
24.7 deg, 3.609 Å, rel. 100
24.9 deg, 3.580 Å, rel. 93
25.4 deg, 3.506 Å, rel. 86
32.7 deg, 2.742 Å, rel. 18
34.4 deg, 2.610 Å, rel. 17
37.1 deg, 2.423 Å, rel. 17
41.6 deg, 2.172 Å, rel. 18
42.4 deg, 2.133 Å, rel. 87
48.8 deg, 1.866 Å, rel. 15

Cell and atoms:
```
data_BNF8
_chemical_formula_sum 'B4 N4 F32'
_space_group_name_H-M_alt 'P b c m'
_space_group_IT_number 57
_cell_length_a 5.219
_cell_length_b 9.993
_cell_length_c 9.841
_cell_angle_alpha 90.00
_cell_angle_beta 90.00
_cell_angle_gamma 90.00
loop_
_space_group_symop_operation_xyz
'x,y,z'
'-x,-y,-z'
'-x,-y,z+1/2'
'x,y,-z+1/2'
'x,-y+1/2,-z'
'-x,y+1/2,z'
'-x,y+1/2,-z+1/2'
'x,-y+1/2,z+1/2'
loop_
_atom_site_label
_atom_site_type_symbol
_atom_site_fract_x
_atom_site_fract_y
_atom_site_fract_z
_atom_site_occupancy
B1 B 0.104 0.009 0.250 1
N1 N 0.477 0.250 0.000 1
F1 F 0.169 0.506 0.250 1
F2 F 0.186 0.145 0.250 1
F3 F 0.197 0.555 0.632 1
F4 F 0.328 0.160 0.564 1
F5 F 0.375 0.686 0.091 1
```

# 3
Calculated X-ray diffraction stick pattern of HfP2O9 for Cu Ka, from a GGA-PBE-relaxed structure.

The 10 most intense peaks (10° ≤ 2θ ≤ 90°), by angle:
12.1 deg, 7.324 Å, rel. 100
19.5 deg, 4.546 Å, rel. 67
20.1 deg, 4.417 Å, rel. 36
24.9 deg, 3.580 Å, rel. 86
26.0 deg, 3.426 Å, rel. 39
28.4 deg, 3.147 Å, rel. 13
33.4 deg, 2.682 Å, rel. 15
33.9 deg, 2.642 Å, rel. 24
35.6 deg, 2.519 Å, rel. 18
53.4 deg, 1.714 Å, rel. 14

Cell and atoms:
```
data_HfP2O9
_chemical_formula_sum 'Hf4 P8 O36'
_space_group_name_H-M_alt 'P 1 21/c 1'
_space_group_IT_number 14
_cell_length_a 9.118
_cell_length_b 5.365
_cell_length_c 15.604
_cell_angle_alpha 90.00
_cell_angle_beta 110.16
_cell_angle_gamma 90.00
loop_
_space_group_symop_operation_xyz
'x,y,z'
'-x,-y,-z'
'-x,y+1/2,-z+1/2'
'x,-y+1/2,z+1/2'
loop_
_atom_site_label
_atom_site_type_symbol
_atom_site_fract_x
_atom_site_fract_y
_atom_site_fract_z
_atom_site_occupancy
Hf1 Hf 0.237 0.233 0.475 1
P1 P 0.008 0.241 0.120 1
P2 P 0.456 0.728 0.606 1
O1 O 0.073 0.504 0.891 1
O2 O 0.105 0.220 0.057 1
O3 O 0.116 0.533 0.402 1
O4 O 0.123 0.215 0.221 1
O5 O 0.265 0.618 0.746 1
O6 O 0.342 0.564 0.058 1
O7 O 0.381 0.212 0.399 1
O8 O 0.399 0.026 0.062 1
O9 O 0.471 0.708 0.709 1
```

# 4
Calculated X-ray diffraction stick pattern of Cs2SiH2O4 for Cu Ka, from a GGA-PBE-relaxed structure.

The 10 most intense peaks (10° ≤ 2θ ≤ 90°), by angle:
23.4 deg, 3.794 Å, rel. 52
23.7 deg, 3.758 Å, rel. 100
26.2 deg, 3.399 Å, rel. 92
27.9 deg, 3.201 Å, rel. 38
28.1 deg, 3.180 Å, rel. 71
28.4 deg, 3.144 Å, rel. 51
29.7 deg, 3.010 Å, rel. 45
30.4 deg, 2.941 Å, rel. 44
34.8 deg, 2.579 Å, rel. 44
49.4 deg, 1.845 Å, rel. 42

Cell and atoms:
```
data_Cs2SiH2O4
_chemical_formula_sum 'Cs4 Si2 H4 O8'
_space_group_name_H-M_alt 'P -1'
_space_group_IT_number 2
_cell_length_a 6.400
_cell_length_b 6.610
_cell_length_c 8.405
_cell_angle_alpha 74.93
_cell_angle_beta 70.76
_cell_angle_gamma 80.65
loop_
_space_group_symop_operation_xyz
'x,y,z'
'-x,-y,-z'
loop_
_atom_site_label
_atom_site_type_symbol
_atom_site_fract_x
_atom_site_fract_y
_atom_site_fract_z
_atom_site_occupancy
Cs1 Cs 0.180 0.189 0.318 1
Cs2 Cs 0.219 0.771 0.039 1
Si1 Si 0.381 0.362 0.731 1
H1 H 0.225 0.499 0.528 1
H2 H 0.406 0.692 0.585 1
O1 O 0.181 0.381 0.631 1
O2 O 0.290 0.251 0.932 1
O3 O 0.383 0.736 0.384 1
O4 O 0.403 0.624 0.709 1
```

# 5
Calculated X-ray diffraction stick pattern of MgF2 for Cu Ka, from a GGA-PBE-relaxed structure.

The 10 most intense peaks (10° ≤ 2θ ≤ 90°), by angle:
30.9 deg, 2.894 Å, rel. 62
35.8 deg, 2.506 Å, rel. 6
40.2 deg, 2.242 Å, rel. 100
44.3 deg, 2.046 Å, rel. 41
51.6 deg, 1.772 Å, rel. 57
55.0 deg, 1.671 Å, rel. 12
61.3 deg, 1.511 Å, rel. 78
64.4 deg, 1.447 Å, rel. 10
70.3 deg, 1.340 Å, rel. 24
86.9 deg, 1.121 Å, rel. 25

Cell and atoms:
```
data_MgF2
_chemical_formula_sum 'Mg4 F8'
_space_group_name_H-M_alt 'P a -3'
_space_group_IT_number 205
_space_group_name_Hall '-P 2ac 2ab 3'
_cell_length_a 5.012
_cell_length_b 5.012
_cell_length_c 5.012
_cell_angle_alpha 90.00
_cell_angle_beta 90.00
_cell_angle_gamma 90.00
loop_
_atom_site_label
_atom_site_type_symbol
_atom_site_fract_x
_atom_site_fract_y
_atom_site_fract_z
_atom_site_occupancy
Mg1 Mg 0.000 0.000 0.000 1
F1 F 0.160 0.660 0.840 1
```

# 6
Calculated X-ray diffraction stick pattern of UNbO5 for Cu Ka, from a GGA-PBE-relaxed structure.

The 10 most intense peaks (10° ≤ 2θ ≤ 90°), by angle:
13.6 deg, 6.519 Å, rel. 21
21.4 deg, 4.149 Å, rel. 65
25.4 deg, 3.500 Å, rel. 17
27.4 deg, 3.260 Å, rel. 100
35.0 deg, 2.564 Å, rel. 61
43.6 deg, 2.075 Å, rel. 12
48.3 deg, 1.883 Å, rel. 23
52.3 deg, 1.750 Å, rel. 24
53.4 deg, 1.714 Å, rel. 22
67.1 deg, 1.394 Å, rel. 12

Cell and atoms:
```
data_UNbO5
_chemical_formula_sum 'U4 Nb4 O20'
_space_group_name_H-M_alt 'P c c a'
_space_group_IT_number 54
_cell_length_a 7.532
_cell_length_b 4.149
_cell_length_c 13.038
_cell_angle_alpha 90.00
_cell_angle_beta 90.00
_cell_angle_gamma 90.00
loop_
_space_group_symop_operation_xyz
'x,y,z'
'-x,-y,-z'
'-x+1/2,-y,z'
'x+1/2,y,-z'
'x+1/2,-y,-z+1/2'
'-x+1/2,y,z+1/2'
'-x,y,-z+1/2'
'x,-y,z+1/2'
loop_
_atom_site_label
_atom_site_type_symbol
_atom_site_fract_x
_atom_site_fract_y
_atom_site_fract_z
_atom_site_occupancy
U1 U 0.250 0.000 0.022 1
Nb1 Nb 0.000 0.083 0.250 1
O1 O 0.000 0.485 0.750 1
O2 O 0.047 0.012 0.403 1
O3 O 0.250 0.000 0.206 1
O4 O 0.250 0.500 0.025 1
```

- Number 3 is which compound?
  HfP2O9